(1)
For La2GaSi3, DFT lattice parameters and positions (PBE) gives the computed powder diffractogram in this record (Cu Kα).

Crystal structure
a = 8.4604 Å, b = 8.7819 Å, c = 14.3239 Å
α = 90.00°, β = 90.00°, γ = 90.00°
Space group Fmmm (No. 69)
One atom of each set of equivalent atoms:
La 0.0000 0.2455 0.0000 x8
La 0.2500 0.2500 0.2500 x8
Ga 0.0000 0.0000 0.3342 x8
Si 0.0000 0.0000 0.1642 x8
Si 0.2467 0.0000 0.0831 x16

The 12 most intense peaks (2θ from 10° to 90°), low angle first:
2θ (°)  Rel. int.
24.44  30
24.86  14
31.92  100
32.26  50
41.11  19
42.75  17
43.53  32
48.42  13
54.55  22
60.81  12
61.42  22
69.18  12

(2)
For Na12GeSb7, DFT lattice parameters and positions (PBE) gives the computed powder diffractogram in this record (Cu Kα).

Crystal structure
a = 12.7537 Å, b = 12.7537 Å, c = 13.3704 Å
α = 90.00°, β = 90.00°, γ = 120.00°
Space group R-3 (No. 148, hexagonal axes)
One atom of each set of equivalent atoms:
Na 0.0431 0.4698 0.2374 x18
Na 0.0684 0.1766 0.8315 x18
Ge 0.0000 0.0000 0.5000 x3
Sb 0.0000 0.0000 0.0000 x3
Sb 0.0624 0.2108 0.3352 x18

The 12 most intense peaks (2θ from 10° to 90°), low angle first:
2θ (°)  Rel. int.
10.39  45
13.89  29
17.37  44
19.92  34
20.86  47
25.15  27
29.92  40
31.28  40
32.14  100
37.32  41
39.92  48
42.65  24

(3)
For Zr2Hg2Ir, DFT lattice parameters and positions (PBE) gives the computed powder diffractogram in this record (Cu Kα).

Crystal structure
a = 7.2736 Å, b = 7.2736 Å, c = 3.8987 Å
α = 90.00°, β = 90.00°, γ = 90.00°
Space group P4/mbm (No. 127)
One atom of each set of equivalent atoms:
Zr 0.1720 0.3280 0.0000 x4
Hg 0.1349 0.6349 0.5000 x4
Ir 0.0000 0.0000 0.5000 x2

The 12 most intense peaks (2θ from 10° to 90°), low angle first:
2θ (°)  Rel. int.
22.81  33
27.42  13
33.70  19
34.89  9
35.96  100
39.17  51
45.80  28
46.59  19
62.45  26
70.27  10
74.32  15
79.41  10

(4)
For La8Pr3Er3, DFT lattice parameters and positions (PBE) gives the computed powder diffractogram in this record (Cu Kα).

Crystal structure
a = 5.8085 Å, b = 11.0286 Å, c = 15.5249 Å
α = 90.00°, β = 90.00°, γ = 90.00°
Space group Immm (No. 71)
One atom of each set of equivalent atoms:
La 0.0000 0.1593 0.2244 x8
La 0.0000 0.3367 0.3954 x8
Pr 0.0000 0.0000 0.5000 x2
Pr 0.0000 0.5000 0.1775 x4
Er 0.0000 0.0000 0.0000 x2
Er 0.0000 0.3004 0.0000 x4

The 12 most intense peaks (2θ from 10° to 90°), low angle first:
2θ (°)  Rel. int.
28.20  17
28.82  38
29.82  34
30.79  53
31.01  100
32.70  50
43.39  24
49.60  11
54.88  20
58.31  12
59.52  15
60.68  12

(5)
For Tm2Th2Co, DFT lattice parameters and positions (PBE) gives the computed powder diffractogram in this record (Cu Kα).

Crystal structure
a = 4.8510 Å, b = 4.8510 Å, c = 23.0739 Å
α = 90.00°, β = 90.00°, γ = 90.00°
Space group I4_1/amd (No. 141, origin choice 2)
One atom of each set of equivalent atoms:
Tm 0.0000 0.2500 0.0545 x8
Th 0.0000 0.2500 0.1972 x8
Co 0.0000 0.2500 0.3750 x4

The 12 most intense peaks (2θ from 10° to 90°), low angle first:
2θ (°)  Rel. int.
27.12  59
31.01  24
35.05  100
37.06  52
49.07  28
53.42  18
60.92  13
61.54  11
62.52  17
63.06  13
65.51  33
86.71  15

(6)
For Ac2Pm5YHo, DFT lattice parameters and positions (PBE) gives the computed powder diffractogram in this record (Cu Kα).

Crystal structure
a = 5.8199 Å, b = 20.6794 Å, c = 10.9356 Å
α = 90.00°, β = 90.00°, γ = 90.00°
Space group Cmc2_1 (No. 36)
One atom of each set of equivalent atoms:
Ac 0.0000 0.1126 0.0000 x4
Ac 0.0000 0.1167 0.5830 x4
Pm 0.0000 0.0184 0.2877 x4
Pm 0.0000 0.2808 0.5758 x4
Pm 0.0000 0.2950 0.9688 x4
Pm 0.0000 0.3871 0.2875 x4
Pm 0.0000 0.4831 0.0092 x4
Y 0.0000 0.4073 0.7335 x4
Ho 0.0000 0.2049 0.2759 x4

The 12 most intense peaks (2θ from 10° to 90°), low angle first:
2θ (°)  Rel. int.
25.84  14
27.13  18
29.23  41
30.72  40
31.17  100
32.76  13
41.44  11
45.53  11
49.35  12
54.91  22
57.38  15
59.27  15

(7)
For Ca6Tl2Cd, DFT lattice parameters and positions (PBE) gives the computed powder diffractogram in this record (Cu Kα).

Crystal structure
a = 10.3618 Å, b = 10.3755 Å, c = 5.4572 Å
α = 90.00°, β = 90.00°, γ = 90.00°
Space group Pnnm (No. 58)
One atom of each set of equivalent atoms:
Ca 0.0289 0.1903 0.0000 x4
Ca 0.1227 0.6211 0.5000 x4
Ca 0.1898 0.9696 0.5000 x4
Tl 0.2065 0.2918 0.5000 x4
Cd 0.0000 0.5000 0.0000 x2

The 12 most intense peaks (2θ from 10° to 90°), low angle first:
2θ (°)  Rel. int.
12.07  19
17.10  22
19.14  20
20.29  65
24.28  20
30.62  100
31.10  16
31.84  58
32.82  33
36.78  20
50.25  16
57.23  16

(8)
For K2SnBSe4, DFT lattice parameters and positions (PBE) gives the computed powder diffractogram in this record (Cu Kα).

Crystal structure
a = 6.3449 Å, b = 13.8530 Å, c = 24.2024 Å
α = 90.00°, β = 90.00°, γ = 90.00°
Space group Fddd (No. 70, origin choice 2)
One atom of each set of equivalent atoms:
K 0.1250 0.1250 0.3102 x16
Sn 0.1250 0.1250 0.1250 x8
B 0.1250 0.1250 0.6250 x8
Se 0.0576 0.2828 0.8245 x32

The 12 most intense peaks (2θ from 10° to 90°), low angle first:
2θ (°)  Rel. int.
14.69  100
24.12  37
26.30  17
30.21  98
35.55  12
36.02  14
38.37  14
39.22  11
43.44  16
47.24  14
48.78  14
54.96  13

(9)
For Dy3GaHg2, DFT lattice parameters and positions (PBE) gives the computed powder diffractogram in this record (Cu Kα).

Crystal structure
a = 3.6637 Å, b = 3.6637 Å, c = 11.0833 Å
α = 90.00°, β = 90.00°, γ = 90.00°
Space group P4/mmm (No. 123)
One atom of each set of equivalent atoms:
Dy 0.0000 0.0000 0.0000 x1
Dy 0.0000 0.0000 0.3435 x2
Ga 0.5000 0.5000 0.5000 x1
Hg 0.5000 0.5000 0.1704 x2

The 12 most intense peaks (2θ from 10° to 90°), low angle first:
2θ (°)  Rel. int.
25.61  4
29.22  5
34.48  100
34.63  50
49.33  9
49.78  18
61.67  18
61.96  37
72.70  11
73.04  7
82.67  7
83.39  17

(10)
For TbDy4Al2, DFT lattice parameters and positions (PBE) gives the computed powder diffractogram in this record (Cu Kα).

Crystal structure
a = 6.0511 Å, b = 10.3593 Å, c = 6.7710 Å
α = 90.00°, β = 111.48°, γ = 90.00°
Space group P2_1/c (No. 14)
One atom of each set of equivalent atoms:
Tb 0.0000 0.0000 0.0000 x2
Dy 0.0030 0.1607 0.4997 x4
Dy 0.4971 0.7104 0.4992 x4
Al 0.4783 0.5006 0.1818 x4

The 12 most intense peaks (2θ from 10° to 90°), low angle first:
2θ (°)  Rel. int.
17.12  17
23.33  24
28.33  72
30.97  100
31.78  67
32.06  21
34.06  44
36.07  69
48.17  24
50.82  22
52.66  22
58.65  23

(11)
For Sr3TcN3, DFT lattice parameters and positions (PBE) gives the computed powder diffractogram in this record (Cu Kα).

Crystal structure
a = 7.8765 Å, b = 7.8765 Å, c = 5.3282 Å
α = 90.00°, β = 90.00°, γ = 120.00°
Space group P6_3/m (No. 176)
One atom of each set of equivalent atoms:
Sr 0.0923 0.3566 0.2500 x6
Tc 0.3333 0.6667 0.7500 x2
N 0.1124 0.4181 0.7500 x6

The 12 most intense peaks (2θ from 10° to 90°), low angle first:
2θ (°)  Rel. int.
12.98  18
26.13  25
28.18  53
31.14  100
33.64  46
34.80  35
39.64  20
49.18  25
52.94  17
58.60  17
59.97  16
61.79  20

(12)
For TbFe2H8, DFT lattice parameters and positions (PBE) gives the computed powder diffractogram in this record (Cu Kα).

Crystal structure
a = 4.2452 Å, b = 7.6908 Å, c = 4.4251 Å
α = 90.00°, β = 90.00°, γ = 90.00°
Space group Amm2 (No. 38)
One atom of each set of equivalent atoms:
Tb 0.0000 0.0000 0.0000 x2
Fe 0.5000 0.1709 0.4619 x4
H 0.2405 0.2236 0.7478 x8
H 0.2531 0.0000 0.4945 x4
H 0.5000 0.1274 0.0999 x4

The 12 most intense peaks (2θ from 10° to 90°), low angle first:
2θ (°)  Rel. int.
23.17  22
31.42  100
40.67  26
40.78  12
42.59  11
49.04  7
52.23  7
52.35  16
60.38  24
68.26  14
68.43  6
70.99  9